(1)
The following is a theoretical XRD peak list of DyScOs. It was derived from a structure optimized by DFT (PBE), using CuKα.
Kinematic intensities with the Lorentz-polarization factor, no thermal factor.

Atomic structure:
```
DyScOs
1.0
-1.652 1.652 6.226
1.652 -1.652 6.226
1.652 1.652 -6.226
Dy Sc Os
1 1 1
direct
0.000 0.000 0.000
0.257 0.257 0.000
0.639 0.639 0.000
```

Principal peaks in the range 5 to 70 degrees two-theta, sorted by position:
14.23 deg, intensity 642
27.93 deg, intensity 152
34.70 deg, intensity 1000
38.53 deg, intensity 455
41.27 deg, intensity 192
43.61 deg, intensity 80
45.61 deg, intensity 342
55.62 deg, intensity 156
59.58 deg, intensity 129
67.25 deg, intensity 294

(2)
The following is a theoretical XRD peak list of Pm12YTm5. It was derived from a structure optimized by DFT (PBE), using CuKα.
Kinematic intensities with the Lorentz-polarization factor, no thermal factor.

Atomic structure:
```
Pm12YTm5
1.0
6.069 -8.537 0.000
6.069 8.537 0.000
-0.001 0.000 5.742
Pm Y Tm
12 1 5
direct
0.031 0.671 0.999
0.170 0.532 0.501
0.200 0.200 0.494
0.298 0.298 0.994
0.329 0.969 0.001
0.468 0.830 0.499
0.532 0.170 0.501
0.671 0.031 0.999
0.702 0.702 0.006
0.800 0.800 0.506
0.830 0.468 0.499
0.969 0.329 0.001
0.500 0.500 0.500
0.000 0.000 0.000
0.134 0.866 0.500
0.365 0.635 0.000
0.635 0.365 0.000
0.866 0.134 0.500
```

Principal peaks in the range 5 to 70 degrees two-theta, sorted by position:
25.51 deg, intensity 80
31.15 deg, intensity 263
31.29 deg, intensity 1000
31.44 deg, intensity 157
40.69 deg, intensity 90
44.77 deg, intensity 108
44.85 deg, intensity 118
55.54 deg, intensity 241
62.18 deg, intensity 91
62.24 deg, intensity 77

(3)
The following is a theoretical XRD peak list of Li3Ag. It was derived from a structure optimized by DFT (PBE), using CuKα.
Kinematic intensities with the Lorentz-polarization factor, no thermal factor.

Atomic structure:
```
Li3Ag
1.0
5.800 0.000 0.000
-2.900 5.023 0.000
0.000 0.000 9.283
Li Ag
12 4
direct
0.000 0.500 0.000
0.000 0.500 0.500
0.162 0.324 0.250
0.162 0.838 0.250
0.324 0.162 0.750
0.500 0.000 0.000
0.500 0.000 0.500
0.500 0.500 0.000
0.500 0.500 0.500
0.676 0.838 0.250
0.838 0.162 0.750
0.838 0.676 0.750
0.000 0.000 0.000
0.000 0.000 0.500
0.333 0.667 0.750
0.667 0.333 0.250
```

Principal peaks in the range 5 to 70 degrees two-theta, sorted by position:
17.66 deg, intensity 145
20.10 deg, intensity 637
26.14 deg, intensity 1000
30.83 deg, intensity 585
34.03 deg, intensity 169
37.08 deg, intensity 187
38.81 deg, intensity 146
40.86 deg, intensity 425
50.36 deg, intensity 281
52.05 deg, intensity 289

(4)
The following is a theoretical XRD peak list of Mg6Al2Ag. It was derived from a structure optimized by DFT (PBE), using CuKα.
Kinematic intensities with the Lorentz-polarization factor, no thermal factor.

Atomic structure:
```
Mg6Al2Ag
1.0
8.245 0.000 0.000
-4.122 7.140 0.000
0.000 0.000 3.113
Mg Al Ag
6 2 1
direct
0.000 0.372 0.000
0.000 0.711 0.500
0.289 0.289 0.500
0.372 0.000 0.000
0.628 0.628 0.000
0.711 0.000 0.500
0.333 0.667 0.500
0.667 0.333 0.500
0.000 0.000 0.000
```

Principal peaks in the range 5 to 70 degrees two-theta, sorted by position:
12.40 deg, intensity 1000
21.56 deg, intensity 348
24.94 deg, intensity 213
31.35 deg, intensity 406
33.20 deg, intensity 222
36.16 deg, intensity 382
37.80 deg, intensity 756
38.37 deg, intensity 572
44.43 deg, intensity 511
64.26 deg, intensity 297

(5)
The following is a theoretical XRD peak list of Sm5Ho12Hg2. It was derived from a structure optimized by DFT (PBE), using CuKα.
Kinematic intensities with the Lorentz-polarization factor, no thermal factor.

Atomic structure:
```
Sm5Ho12Hg2
1.0
8.354 -4.295 0.000
8.354 4.295 0.000
-1.667 0.000 8.468
Sm Ho Hg
5 12 2
direct
0.000 0.000 0.000
0.289 0.289 0.519
0.293 0.293 0.972
0.707 0.707 0.028
0.711 0.711 0.481
0.027 0.638 0.803
0.066 0.066 0.406
0.077 0.671 0.234
0.329 0.923 0.766
0.362 0.973 0.197
0.478 0.478 0.807
0.522 0.522 0.193
0.638 0.027 0.803
0.671 0.077 0.234
0.923 0.329 0.766
0.934 0.934 0.594
0.973 0.362 0.197
0.331 0.669 0.500
0.669 0.331 0.500
```

Principal peaks in the range 5 to 70 degrees two-theta, sorted by position:
29.15 deg, intensity 411
29.63 deg, intensity 583
30.14 deg, intensity 1000
30.52 deg, intensity 489
30.91 deg, intensity 515
32.82 deg, intensity 524
33.21 deg, intensity 740
34.44 deg, intensity 623
35.39 deg, intensity 611
38.95 deg, intensity 489

(6)
The following is a theoretical XRD peak list of NdDy2Mg2In2. It was derived from a structure optimized by DFT (PBE), using CuKα.
Kinematic intensities with the Lorentz-polarization factor, no thermal factor.

Atomic structure:
```
NdDy2Mg2In2
1.0
2.518 1.454 8.777
-2.518 1.454 8.777
0.000 -2.908 8.777
Nd Dy Mg In
1 2 2 2
direct
0.000 0.000 0.000
0.130 0.130 0.130
0.870 0.870 0.870
0.265 0.265 0.265
0.735 0.735 0.735
0.406 0.406 0.406
0.594 0.594 0.594
```

Principal peaks in the range 5 to 70 degrees two-theta, sorted by position:
20.64 deg, intensity 190
21.46 deg, intensity 170
24.48 deg, intensity 398
31.40 deg, intensity 817
34.13 deg, intensity 493
35.66 deg, intensity 1000
48.24 deg, intensity 246
61.41 deg, intensity 237
64.05 deg, intensity 178
64.73 deg, intensity 297

(7)
The following is a theoretical XRD peak list of Sr2LiZn6Ni. It was derived from a structure optimized by DFT (PBE), using CuKα.
Kinematic intensities with the Lorentz-polarization factor, no thermal factor.

Atomic structure:
```
Sr2LiZn6Ni
1.0
-3.354 3.354 4.736
3.354 -3.354 4.736
3.354 3.354 -4.736
Sr Li Zn Ni
2 1 6 1
direct
0.250 0.750 0.500
0.750 0.250 0.500
0.000 0.000 0.000
0.252 0.252 0.000
0.252 0.252 0.504
0.252 0.748 0.000
0.748 0.252 0.000
0.748 0.748 0.000
0.748 0.748 0.496
0.500 0.500 0.000
```

Principal peaks in the range 5 to 70 degrees two-theta, sorted by position:
16.19 deg, intensity 84
26.59 deg, intensity 98
31.29 deg, intensity 41
32.72 deg, intensity 1000
37.96 deg, intensity 794
46.94 deg, intensity 40
49.98 deg, intensity 18
54.76 deg, intensity 527
65.27 deg, intensity 382
68.56 deg, intensity 172

(8)
The following is a theoretical XRD peak list of Er6Pt5. It was derived from a structure optimized by DFT (PBE), using CuKα.
Kinematic intensities with the Lorentz-polarization factor, no thermal factor.

Atomic structure:
```
Er6Pt5
1.0
-2.429 3.457 7.331
2.429 -3.457 7.331
2.429 3.457 -7.331
Er Pt
6 5
direct
0.083 0.334 0.749
0.248 0.000 0.248
0.414 0.666 0.749
0.586 0.334 0.251
0.752 0.000 0.752
0.917 0.666 0.251
0.000 0.500 0.500
0.173 0.173 0.000
0.338 0.838 0.500
0.662 0.162 0.500
0.827 0.827 0.000
```

Principal peaks in the range 5 to 70 degrees two-theta, sorted by position:
14.16 deg, intensity 33
22.32 deg, intensity 28
25.49 deg, intensity 29
36.82 deg, intensity 1000
37.01 deg, intensity 199
52.98 deg, intensity 72
53.17 deg, intensity 139
66.26 deg, intensity 213
66.38 deg, intensity 73
66.59 deg, intensity 144

(9)
The following is a theoretical XRD peak list of Ce7IrPt2. It was derived from a structure optimized by DFT (PBE), using CuKα.
Kinematic intensities with the Lorentz-polarization factor, no thermal factor.

Atomic structure:
```
Ce7IrPt2
1.0
4.691 -6.519 0.000
4.691 6.519 0.000
0.000 0.000 4.923
Ce Ir Pt
7 1 2
direct
0.000 0.000 0.000
0.205 0.408 0.000
0.294 0.706 0.500
0.408 0.205 0.000
0.592 0.795 0.000
0.706 0.294 0.500
0.795 0.592 0.000
0.500 0.500 0.500
0.206 0.794 0.000
0.794 0.206 0.000
```

Principal peaks in the range 5 to 70 degrees two-theta, sorted by position:
18.02 deg, intensity 522
18.92 deg, intensity 396
21.49 deg, intensity 453
33.47 deg, intensity 572
34.67 deg, intensity 893
36.51 deg, intensity 571
38.38 deg, intensity 264
40.30 deg, intensity 1000
50.36 deg, intensity 363
63.98 deg, intensity 432

(10)
The following is a theoretical XRD peak list of Ho5CdGa2. It was derived from a structure optimized by DFT (PBE), using CuKα.
Kinematic intensities with the Lorentz-polarization factor, no thermal factor.

Atomic structure:
```
Ho5CdGa2
1.0
2.621 -5.255 0.000
2.621 5.255 0.000
0.000 0.000 15.832
Ho Cd Ga
10 2 4
direct
0.078 0.922 0.597
0.078 0.922 0.903
0.351 0.649 0.250
0.382 0.618 0.564
0.382 0.618 0.936
0.618 0.382 0.064
0.618 0.382 0.436
0.649 0.351 0.750
0.922 0.078 0.097
0.922 0.078 0.403
0.321 0.679 0.750
0.679 0.321 0.250
0.226 0.774 0.087
0.226 0.774 0.413
0.774 0.226 0.587
0.774 0.226 0.913
```

Principal peaks in the range 5 to 70 degrees two-theta, sorted by position:
25.40 deg, intensity 218
29.53 deg, intensity 372
30.70 deg, intensity 234
31.22 deg, intensity 180
33.98 deg, intensity 424
34.19 deg, intensity 674
35.19 deg, intensity 1000
46.43 deg, intensity 114
48.98 deg, intensity 351
61.87 deg, intensity 314

(11)
The following is a theoretical XRD peak list of Nd2Zn3Pd2. It was derived from a structure optimized by DFT (PBE), using CuKα.
Kinematic intensities with the Lorentz-polarization factor, no thermal factor.

Atomic structure:
```
Nd2Zn3Pd2
1.0
5.029 -2.153 0.000
5.029 2.153 0.000
-2.779 0.000 6.580
Nd Zn Pd
2 3 2
direct
0.145 0.145 0.263
0.855 0.855 0.737
0.374 0.374 0.065
0.500 0.500 0.500
0.626 0.626 0.935
0.136 0.136 0.705
0.864 0.864 0.295
```

Principal peaks in the range 5 to 70 degrees two-theta, sorted by position:
27.10 deg, intensity 364
32.59 deg, intensity 486
33.97 deg, intensity 358
35.77 deg, intensity 759
37.58 deg, intensity 965
38.57 deg, intensity 1000
38.88 deg, intensity 442
41.97 deg, intensity 650
57.80 deg, intensity 286
68.90 deg, intensity 280

(12)
The following is a theoretical XRD peak list of Rb2CuCl3F. It was derived from a structure optimized by DFT (PBE), using CuKα.
Kinematic intensities with the Lorentz-polarization factor, no thermal factor.

Atomic structure:
```
Rb2CuCl3F
1.0
-2.237 2.472 8.037
2.237 -2.472 8.037
2.237 2.472 -8.037
Rb Cu Cl F
2 1 3 1
direct
0.140 0.140 0.000
0.860 0.860 0.000
0.500 0.500 0.000
0.000 0.500 0.500
0.352 0.352 0.000
0.648 0.648 0.000
0.500 0.000 0.500
```

Principal peaks in the range 5 to 70 degrees two-theta, sorted by position:
11.01 deg, intensity 336
24.50 deg, intensity 333
25.94 deg, intensity 455
26.88 deg, intensity 1000
33.45 deg, intensity 305
35.08 deg, intensity 628
36.35 deg, intensity 449
40.31 deg, intensity 329
45.17 deg, intensity 344
55.39 deg, intensity 249

(13)
The following is a theoretical XRD peak list of Ga13Ir2. It was derived from a structure optimized by DFT (PBE), using CuKα.
Kinematic intensities with the Lorentz-polarization factor, no thermal factor.

Atomic structure:
```
Ga13Ir2
1.0
5.544 0.000 0.000
0.206 6.656 0.000
1.240 1.962 7.495
Ga Ir
13 2
direct
0.000 0.000 0.000
0.064 0.201 0.374
0.219 0.731 0.285
0.226 0.470 0.077
0.280 0.427 0.741
0.446 0.785 0.564
0.466 0.861 0.902
0.534 0.139 0.098
0.554 0.215 0.436
0.720 0.573 0.259
0.774 0.530 0.923
0.781 0.269 0.715
0.936 0.799 0.626
0.195 0.081 0.683
0.805 0.919 0.317
```

Principal peaks in the range 5 to 70 degrees two-theta, sorted by position:
13.75 deg, intensity 850
20.33 deg, intensity 414
26.66 deg, intensity 441
31.00 deg, intensity 989
37.03 deg, intensity 755
40.56 deg, intensity 412
41.98 deg, intensity 910
42.95 deg, intensity 449
43.61 deg, intensity 382
45.21 deg, intensity 1000